Simulated XRD peak list
Compound: In2Ga2Ag5
Radiation: Cu Kα, 1.54184 Å
Structure: a crystal structure in Alexandria, relaxed with PBE
Lines closer than 0.1° are merged.

Crystal structure
```
In2Ga2Ag5
1.0
4.8976 0.0000 0.0000
-0.0169 5.0178 0.0000
-2.4327 -0.6472 7.2519
In Ga Ag
2 2 5
Direct
0.0773 0.3037 0.1558
0.9227 0.6963 0.8442
0.2958 0.4107 0.5899
0.7042 0.5893 0.4101
0.1986 0.8632 0.3988
0.4002 0.9815 0.7978
0.5000 0.5000 0.0000
0.5998 0.0185 0.2022
0.8014 0.1368 0.6012
```

Peak list (12 most intense, 2θ from 5° to 70°, by angle)
| d (Å) | 2theta | I/Imax | index |
| --- | --- | --- | --- |
| 2.818 | 31.75 | 89 | 0 1 2 |
| 2.754 | 32.51 | 24 | 1 1 1 |
| 2.449 | 36.70 | 100 | 2 0 -1 |
| 2.308 | 39.03 | 64 | 1 -1 2 |
| 2.301 | 39.15 | 66 | 1 1 -3 |
| 2.230 | 40.45 | 71 | 1 -2 0 |
| 2.224 | 40.57 | 71 | 1 2 -1 |
| 2.168 | 41.67 | 40 | -1 1 3 |
| 1.848 | 49.30 | 50 | 2 1 1 |
| 1.465 | 63.50 | 18 | -1 3 2 |
| 1.433 | 65.11 | 15 | 0 3 -3 |
| 1.369 | 68.54 | 14 | -3 2 1 |